Record 1
This entry pairs a crystal structure of NaCaBO3 with its theoretical X-ray diffraction stick pattern. Radiation: λ = 1.5418 Å (Cu Kα). Structure: a crystal structure in the Materials Project, relaxed with GGA-PBE.
No peak broadening, texture or thermal motion is included.

Peak list (8 most intense, 2θ = 10–90°, by angle)
10.17 deg, 8.695 Å, rel. 24; 27.98 deg, 3.188 Å, rel. 24; 30.69 deg, 2.914 Å, rel. 20; 34.74 deg, 2.582 Å, rel. 38; 34.96 deg, 2.567 Å, rel. 100; 38.19 deg, 2.357 Å, rel. 21; 46.80 deg, 1.941 Å, rel. 20; 48.83 deg, 1.865 Å, rel. 30

Crystal structure
a b c (Å): 10.2844 3.5360 19.2270
angles (deg): 90.00 122.27 90.00
Space group Pc (No. 7)
Asymmetric unit:
1 Na 0.0000 0.1220 0.0000 x2
2 Na 0.1278 0.2633 0.8509 x2
3 Na 0.1625 0.2867 0.6701 x2
4 Na 0.8394 0.2961 0.3346 x2
5 Ca 0.4286 0.2657 0.1512 x2
6 Ca 0.4875 0.0302 0.4987 x2
7 Ca 0.5604 0.2655 0.8501 x2
8 Ca 0.8691 0.2591 0.1566 x2
9 B 0.2225 0.3395 0.5045 x2
10 B 0.2871 0.1800 0.2898 x2
11 B 0.7022 0.1808 0.7089 x2
12 B 0.7684 0.3354 0.5012 x2
13 O 0.0877 0.2625 0.4324 x2
14 O 0.1309 0.2501 0.2461 x2
15 O 0.2451 0.2348 0.5815 x2
16 O 0.3448 0.4661 0.0083 x2
17 O 0.3613 0.0185 0.8623 x2
18 O 0.3755 0.2737 0.2557 x2
19 O 0.6225 0.2667 0.7473 x2
20 O 0.6299 0.0362 0.1382 x2
21 O 0.6530 0.4554 0.0009 x2
22 O 0.7494 0.2385 0.4256 x2
23 O 0.8554 0.2743 0.7433 x2
24 O 0.9002 0.2387 0.5761 x2

---

Record 2
This entry pairs a crystal structure of NaCa4B3O9 with its theoretical X-ray diffraction stick pattern. Radiation: λ = 1.5418 Å (Cu Kα). Structure: a crystal structure in the Materials Project, relaxed with GGA-PBE.
No peak broadening, texture or thermal motion is included.

Peak list (8 most intense, 2θ = 10–90°, by angle)
17.65 deg, 5.024 Å, rel. 29; 31.96 deg, 2.800 Å, rel. 34; 32.61 deg, 2.746 Å, rel. 43; 33.25 deg, 2.694 Å, rel. 59; 35.75 deg, 2.512 Å, rel. 100; 42.09 deg, 2.147 Å, rel. 36; 43.49 deg, 2.081 Å, rel. 53; 45.47 deg, 1.995 Å, rel. 33

Crystal structure
a b c (Å): 10.7774 11.3741 6.5395
angles (deg): 90.00 90.00 90.00
Space group Ama2 (No. 40)
Asymmetric unit:
1 Na 0.2500 0.0749 0.0000 x4
2 Ca 0.0000 0.0000 0.4286 x4
3 Ca 0.0279 0.2859 0.5700 x8
4 Ca 0.2500 0.3504 0.2033 x4
5 B 0.0000 0.0000 0.8536 x4
6 B 0.2500 0.1218 0.4151 x4
7 B 0.2500 0.3278 0.7774 x4
8 O 0.0000 0.0000 0.0643 x4
9 O 0.0287 0.3972 0.2486 x8
10 O 0.1390 0.1617 0.3235 x8
11 O 0.1389 0.3096 0.8830 x8
12 O 0.2500 0.0442 0.5744 x4
13 O 0.2500 0.3586 0.5736 x4